Entry 1:
For Mg14NiB, a DFT-relaxed cell (GGA-PBE, Alexandria) gives the simulated powder diffractogram in this record (λ = 1.5418 Å (Cu Kα)).

Cell and atoms:
a = 9.5523 Å, b = 6.2813 Å, c = 6.2813 Å
α = 62.61°, β = 90.00°, γ = 90.00°
Atoms (fractional coordinates):
1 Mg 0.0000 0.0000 0.0000
2 Mg 0.0000 0.4915 0.9838
3 Mg 0.0000 0.4955 0.4955
4 Mg 0.0000 0.9838 0.4915
5 Mg 0.2487 0.3171 0.3171
6 Mg 0.2530 0.8265 0.8265
7 Mg 0.3165 0.3239 0.7994
8 Mg 0.3165 0.7994 0.3239
9 Mg 0.5000 0.0525 0.5380
10 Mg 0.5000 0.5380 0.0525
11 Mg 0.6835 0.3239 0.7994
12 Mg 0.6835 0.7994 0.3239
13 Mg 0.7470 0.8265 0.8265
14 Mg 0.7513 0.3171 0.3171
15 Ni 0.5000 0.9761 0.9761
16 B 0.5000 0.4651 0.4651

Most intense lines, 10 to 90 degrees two-theta, sorted by position:
2θ (°)  I_rel
18.42  14
32.10  19
33.40  18
37.34  100
37.67  20
38.48  28
44.74  10
50.30  10
56.38  11
58.87  11

Entry 2:
For MgNi3B2, a DFT-relaxed cell (GGA-PBE, Alexandria) gives the simulated powder diffractogram in this record (λ = 1.5418 Å (Cu Kα)).

Cell and atoms:
a = 4.8883 Å, b = 4.8883 Å, c = 8.7565 Å
α = 90.00°, β = 90.00°, γ = 120.00°
Atoms (fractional coordinates):
1 Mg 0.0000 0.0000 0.0000
2 Mg 0.0000 0.0000 0.3333
3 Mg 0.0000 0.0000 0.6667
4 Ni 0.0000 0.5000 0.1248
5 Ni 0.0000 0.5000 0.5419
6 Ni 0.0000 0.5000 0.8333
7 Ni 0.5000 0.0000 0.2086
8 Ni 0.5000 0.0000 0.5000
9 Ni 0.5000 0.0000 0.7914
10 Ni 0.5000 0.5000 0.1667
11 Ni 0.5000 0.5000 0.4581
12 Ni 0.5000 0.5000 0.8752
13 B 0.2232 0.6116 0.3333
14 B 0.3884 0.6116 0.6667
15 B 0.3884 0.7768 0.0000
16 B 0.6116 0.2232 0.0000
17 B 0.6116 0.3884 0.6667
18 B 0.7768 0.3884 0.3333

Most intense lines, 10 to 90 degrees two-theta, sorted by position:
2θ (°)  I_rel
20.98  32
30.63  23
37.42  31
42.72  100
46.71  27
48.59  22
53.47  37
56.43  14
66.66  11
78.22  15

Entry 3:
For Mg2NiB, a DFT-relaxed cell (GGA-PBE, Alexandria) gives the simulated powder diffractogram in this record (λ = 1.5418 Å (Cu Kα)).

Cell and atoms:
a = 6.6367 Å, b = 6.6367 Å, c = 6.6367 Å
α = 94.65°, β = 94.65°, γ = 146.93°
Atoms (fractional coordinates):
1 Mg 0.0000 0.0000 0.0000
2 Mg 0.0000 0.0000 0.5000
3 Mg 0.0000 0.5000 0.0000
4 Mg 0.5000 0.0000 0.5000
5 Ni 0.3750 0.6250 0.7500
6 Ni 0.6250 0.3750 0.2500
7 B 0.1250 0.8750 0.2500
8 B 0.8750 0.1250 0.7500

Most intense lines, 10 to 90 degrees two-theta, sorted by position:
2θ (°)  I_rel
19.73  100
32.51  87
40.09  43
43.46  38
45.06  20
50.40  14
57.98  13
58.67  17
60.60  14
68.08  15

Entry 4:
For MgNi4B, a DFT-relaxed cell (GGA-PBE, Alexandria) gives the simulated powder diffractogram in this record (λ = 1.5418 Å (Cu Kα)).

Cell and atoms:
a = 6.8123 Å, b = 6.8123 Å, c = 5.3105 Å
α = 90.00°, β = 90.00°, γ = 145.90°
Atoms (fractional coordinates):
1 Mg 0.1003 0.8997 0.7500
2 Mg 0.8997 0.1003 0.2500
3 Ni 0.1158 0.8842 0.2500
4 Ni 0.2966 0.7034 0.0133
5 Ni 0.2966 0.7034 0.4867
6 Ni 0.5000 0.5000 0.0000
7 Ni 0.5000 0.5000 0.5000
8 Ni 0.7034 0.2966 0.5133
9 Ni 0.7034 0.2966 0.9867
10 Ni 0.8842 0.1158 0.7500
11 B 0.3926 0.6074 0.7500
12 B 0.6074 0.3926 0.2500

Most intense lines, 10 to 90 degrees two-theta, sorted by position:
2θ (°)  I_rel
21.59  8
41.39  100
44.00  28
45.40  25
46.06  7
54.42  10
65.08  16
79.08  9
81.12  12
85.64  11

Entry 5:
For MgB4O7, a DFT-relaxed cell (GGA-PBE, Alexandria) gives the simulated powder diffractogram in this record (λ = 1.5418 Å (Cu Kα)).

Cell and atoms:
a = 6.3661 Å, b = 6.3661 Å, c = 5.1872 Å
α = 90.00°, β = 90.00°, γ = 62.22°
Atoms (fractional coordinates):
1 Mg 0.2296 0.7704 0.7500
2 Mg 0.7704 0.2296 0.2500
3 B 0.0791 0.6859 0.2500
4 B 0.2969 0.2969 0.0000
5 B 0.2969 0.2969 0.5000
6 B 0.3141 0.9209 0.2500
7 B 0.6859 0.0791 0.7500
8 B 0.7031 0.7031 0.0000
9 B 0.7031 0.7031 0.5000
10 B 0.9209 0.3141 0.7500
11 O 0.0832 0.9168 0.2500
12 O 0.1906 0.5531 0.0209
13 O 0.1906 0.5531 0.4791
14 O 0.1945 0.2435 0.7500
15 O 0.2435 0.1945 0.2500
16 O 0.4469 0.8094 0.0209
17 O 0.4469 0.8094 0.4791
18 O 0.5531 0.1906 0.5209
19 O 0.5531 0.1906 0.9791
20 O 0.7565 0.8055 0.7500
21 O 0.8055 0.7565 0.2500
22 O 0.8094 0.4469 0.5209
23 O 0.8094 0.4469 0.9791
24 O 0.9168 0.0832 0.7500

Most intense lines, 10 to 90 degrees two-theta, sorted by position:
2θ (°)  I_rel
28.05  37
31.77  97
33.04  61
38.20  81
43.10  43
45.10  21
45.68  23
48.46  100
55.53  27
85.07  22

Entry 6:
For MgBO, a DFT-relaxed cell (GGA-PBE, Alexandria) gives the simulated powder diffractogram in this record (λ = 1.5418 Å (Cu Kα)).

Cell and atoms:
a = 3.1044 Å, b = 3.1044 Å, c = 7.0595 Å
α = 108.53°, β = 108.53°, γ = 59.96°
Atoms (fractional coordinates):
1 Mg 0.0000 0.0000 0.0000
2 Mg 0.5305 0.5305 0.3761
3 B 0.1944 0.1944 0.7455
4 B 0.5290 0.5290 0.7444
5 O 0.2651 0.2651 0.5432
6 O 0.7773 0.7773 0.1934

Most intense lines, 10 to 90 degrees two-theta, sorted by position:
2θ (°)  I_rel
13.48  13
36.29  13
39.20  100
39.48  14
43.84  43
48.26  21
59.59  19
59.92  18
60.12  20
60.38  22